The following is a computed PXRD pattern of Li8NbNi3P6O24. It was derived from a DFT-relaxed cell (GGA+U, Alexandria), using copper Kα.

Unit cell a=8.9350 b=8.9350 c=20.5560 alpha=90.00 beta=90.00 gamma=120.00
Space group R3 (No. 146, hexagonal axes)
Inequivalent atoms, fractional coordinates:
Li1 0.0000 0.0000 0.0000 (multiplicity 3)
Li2 0.0000 0.0000 0.4876 (multiplicity 3)
Li3 0.0455 0.4286 0.2476 (multiplicity 9)
Li4 0.0855 0.7176 0.0621 (multiplicity 9)
Nb1 0.0000 0.0000 0.8422 (multiplicity 3)
Ni1 0.0000 0.0000 0.1325 (multiplicity 3)
Ni2 0.0000 0.0000 0.3394 (multiplicity 3)
Ni3 0.0000 0.0000 0.6350 (multiplicity 3)
P1 0.0014 0.3035 0.7350 (multiplicity 9)
P2 0.0042 0.7067 0.2362 (multiplicity 9)
O1 0.0158 0.2086 0.7966 (multiplicity 9)
O2 0.0224 0.2175 0.6740 (multiplicity 9)
O3 0.0237 0.1929 0.0654 (multiplicity 9)
O4 0.0430 0.1973 0.4091 (multiplicity 9)
O5 0.1359 0.6881 0.9667 (multiplicity 9)
O6 0.1369 0.6769 0.8420 (multiplicity 9)
O7 0.1605 0.6888 0.5722 (multiplicity 9)
O8 0.1798 0.7066 0.2326 (multiplicity 9)

Peak list (10 most intense, 10° ≤ 2θ ≤ 80°, low angle first)
2θ/deg, I/Imax, h k l
14.33, 25, 0 1 2
19.87, 46, 1 1 0
20.75, 85, 1 0 4
23.78, 100, 1 1 3
28.89, 38, 0 2 4
32.95, 60, 1 1 6
34.78, 41, 3 0 0
35.31, 27, 2 1 4
48.66, 24, 2 2 6
54.33, 25, 1 4 0